Diffraction record for Al2SiO5. The X-ray powder pattern is simulated, not measured: it uses the GGA-PBE geometry in the Materials Project and copper Kα.

Most intense lines, 2θ = 10–90°, in order of rising 2θ:
2θ/deg  d_spacing  I_rel
10.29  8.594  86.2
16.18  5.480  94.2
16.38  5.410  100.0
17.14  5.175  34.1
17.32  5.121  60.2
19.04  4.662  41.6
24.37  3.653  18.5
31.08  2.877  20.4

Cell and atoms:
```
Al2SiO5
1.0
5.457 0.000 0.000
-0.604 10.542 0.000
-1.686 -2.756 10.959
Al Si O
8 4 20
direct
0.043 0.251 0.394 Al
0.116 0.002 0.306 Al
0.138 0.288 0.677 Al
0.443 0.878 0.713 Al
0.557 0.122 0.287 Al
0.862 0.712 0.323 Al
0.884 0.998 0.694 Al
0.957 0.749 0.606 Al
0.377 0.812 0.231 Si
0.408 0.390 0.943 Si
0.592 0.610 0.057 Si
0.623 0.188 0.769 Si
0.033 0.323 0.541 O
0.075 0.705 0.743 O
0.113 0.830 0.297 O
0.148 0.923 0.659 O
0.214 0.395 0.821 O
0.308 0.154 0.372 O
0.349 0.725 0.737 O
0.353 0.697 0.108 O
0.364 0.965 0.206 O
0.389 0.188 0.667 O
0.611 0.812 0.333 O
0.636 0.035 0.794 O
0.647 0.303 0.892 O
0.651 0.275 0.263 O
0.692 0.846 0.628 O
0.786 0.605 0.179 O
0.852 0.077 0.341 O
0.887 0.170 0.703 O
0.925 0.295 0.257 O
0.967 0.677 0.459 O
```



Diffraction record for Mg17Al11Pt. The X-ray powder pattern is simulated, not measured: it uses the GGA-PBE geometry in the Materials Project and copper Kα.

Most intense lines, 2θ = 10–90°, in order of rising 2θ:
2θ/deg  d_spacing  I_rel
11.95  7.406  100.0
20.73  4.285  29.3
20.83  4.265  30.8
36.26  2.478  39.7
36.41  2.468  36.2
36.53  2.460  51.0
36.68  2.450  22.0
40.34  2.236  43.0

Cell and atoms:
```
Mg17Al11Pt
1.0
5.254 -7.407 0.000
5.254 7.407 0.000
-5.174 0.000 7.347
Mg Al Pt
17 11 1
direct
0.000 0.000 0.000 Mg
0.001 0.001 0.648 Mg
0.002 0.400 0.681 Mg
0.286 0.603 0.597 Mg
0.316 0.316 0.703 Mg
0.318 0.715 0.312 Mg
0.348 0.348 0.339 Mg
0.400 0.002 0.681 Mg
0.407 0.685 0.997 Mg
0.603 0.286 0.597 Mg
0.612 0.612 0.280 Mg
0.661 0.999 0.001 Mg
0.685 0.407 0.997 Mg
0.687 0.996 0.386 Mg
0.715 0.318 0.312 Mg
0.996 0.687 0.386 Mg
0.999 0.661 0.001 Mg
0.003 0.368 0.184 Al
0.176 0.994 0.357 Al
0.183 0.817 0.812 Al
0.187 0.368 0.995 Al
0.368 0.003 0.184 Al
0.368 0.187 0.995 Al
0.635 0.819 0.631 Al
0.639 0.639 0.827 Al
0.817 0.183 0.812 Al
0.819 0.635 0.631 Al
0.994 0.176 0.357 Al
0.818 0.818 0.175 Pt
```



Diffraction record for Rb3PbCl5. The X-ray powder pattern is simulated, not measured: it uses the GGA-PBE geometry in the Materials Project and copper Kα.

Most intense lines, 2θ = 10–90°, in order of rising 2θ:
2θ/deg  d_spacing  I_rel
11.09  7.982  50.8
22.76  3.907  61.0
23.85  3.731  41.2
28.68  3.113  100.0
31.82  2.812  38.2
32.26  2.775  53.1
33.68  2.661  42.6
36.61  2.454  42.8

Cell and atoms:
```
Rb3PbCl5
1.0
8.960 0.000 0.000
0.000 15.964 0.000
0.000 0.000 8.493
Rb Pb Cl
12 4 20
direct
0.079 0.250 0.137 Rb
0.238 0.046 0.467 Rb
0.238 0.454 0.467 Rb
0.262 0.546 0.967 Rb
0.262 0.954 0.967 Rb
0.421 0.750 0.637 Rb
0.579 0.250 0.363 Rb
0.738 0.046 0.033 Rb
0.738 0.454 0.033 Rb
0.762 0.546 0.533 Rb
0.762 0.954 0.533 Rb
0.921 0.750 0.863 Rb
0.061 0.750 0.361 Pb
0.439 0.250 0.861 Pb
0.561 0.750 0.139 Pb
0.939 0.250 0.639 Pb
0.045 0.114 0.824 Cl
0.045 0.386 0.824 Cl
0.110 0.625 0.627 Cl
0.110 0.875 0.627 Cl
0.223 0.250 0.521 Cl
0.277 0.750 0.021 Cl
0.390 0.125 0.127 Cl
0.390 0.375 0.127 Cl
0.455 0.614 0.324 Cl
0.455 0.886 0.324 Cl
0.545 0.114 0.676 Cl
0.545 0.386 0.676 Cl
0.610 0.625 0.873 Cl
0.610 0.875 0.873 Cl
0.723 0.250 0.979 Cl
0.777 0.750 0.479 Cl
0.890 0.125 0.373 Cl
0.890 0.375 0.373 Cl
0.955 0.614 0.176 Cl
0.955 0.886 0.176 Cl
```



Diffraction record for Ba3TiAl10O20. The X-ray powder pattern is simulated, not measured: it uses the GGA-PBE geometry in the Materials Project and copper Kα.

Most intense lines, 2θ = 10–90°, in order of rising 2θ:
2θ/deg  d_spacing  I_rel
15.42  5.748  52.3
19.27  4.606  48.3
28.37  3.146  81.7
29.32  3.047  100.0
29.45  3.033  41.5
29.70  3.008  55.3
30.86  2.898  37.4
35.72  2.514  38.8

Cell and atoms:
```
Ba3TiAl10O20
1.0
7.901 -5.748 0.000
7.901 5.748 0.000
-1.545 0.000 4.785
Ba Ti Al O
3 1 10 20
direct
0.000 0.000 0.000 Ba
0.278 0.278 0.250 Ba
0.722 0.722 0.750 Ba
0.500 0.500 0.000 Ti
0.007 0.287 0.659 Al
0.150 0.576 0.837 Al
0.287 0.007 0.659 Al
0.364 0.636 0.500 Al
0.424 0.850 0.163 Al
0.576 0.150 0.837 Al
0.636 0.364 0.500 Al
0.713 0.993 0.341 Al
0.850 0.424 0.163 Al
0.993 0.713 0.341 Al
0.013 0.710 0.999 O
0.107 0.107 0.533 O
0.118 0.404 0.694 O
0.170 0.658 0.566 O
0.290 0.987 0.001 O
0.306 0.553 0.113 O
0.342 0.830 0.434 O
0.404 0.118 0.694 O
0.437 0.437 0.607 O
0.447 0.694 0.887 O
0.553 0.306 0.113 O
0.563 0.563 0.393 O
0.596 0.882 0.306 O
0.658 0.170 0.566 O
0.694 0.447 0.887 O
0.710 0.013 0.999 O
0.830 0.342 0.434 O
0.882 0.596 0.306 O
0.893 0.893 0.467 O
0.987 0.290 0.001 O
```



Diffraction record for RbYMg6O8. The X-ray powder pattern is simulated, not measured: it uses the GGA-PBE geometry in the Materials Project and copper Kα.

Most intense lines, 2θ = 10–90°, in order of rising 2θ:
2θ/deg  d_spacing  I_rel
19.16  4.633  45.7
27.38  3.258  39.0
33.63  2.665  53.7
38.88  2.316  100.0
39.34  2.291  45.4
56.15  1.638  30.5
56.50  1.629  56.3
70.71  1.332  26.5

Cell and atoms:
```
RbYMg6O8
1.0
4.633 0.000 0.000
0.000 4.633 0.000
0.000 0.000 9.162
Rb Y Mg O
1 1 6 8
direct
0.000 0.000 0.000 Rb
0.000 0.000 0.500 Y
0.000 0.500 0.232 Mg
0.000 0.500 0.768 Mg
0.500 0.000 0.232 Mg
0.500 0.000 0.768 Mg
0.500 0.500 0.000 Mg
0.500 0.500 0.500 Mg
0.000 0.000 0.267 O
0.000 0.000 0.733 O
0.000 0.500 0.000 O
0.000 0.500 0.500 O
0.500 0.000 0.000 O
0.500 0.000 0.500 O
0.500 0.500 0.251 O
0.500 0.500 0.749 O
```



Diffraction record for Li3TiF6. The X-ray powder pattern is simulated, not measured: it uses the GGA-PBE geometry in the Materials Project and copper Kα.

Most intense lines, 2θ = 10–90°, in order of rising 2θ:
2θ/deg  d_spacing  I_rel
19.95  4.450  33.7
20.36  4.362  60.2
20.83  4.264  100.0
22.34  3.979  35.7
28.44  3.139  39.2
38.75  2.324  40.9
40.72  2.216  92.2
62.59  1.484  46.0

Cell and atoms:
```
Li3TiF6
1.0
7.333 -4.450 0.000
7.333 4.450 0.000
-1.161 0.000 10.224
Li Ti F
18 6 36
direct
0.013 0.706 0.220 Li
0.058 0.345 0.429 Li
0.131 0.530 0.952 Li
0.197 0.803 0.750 Li
0.294 0.987 0.280 Li
0.329 0.633 0.474 Li
0.345 0.058 0.929 Li
0.367 0.671 0.026 Li
0.470 0.869 0.548 Li
0.530 0.131 0.452 Li
0.633 0.329 0.974 Li
0.655 0.942 0.071 Li
0.671 0.367 0.526 Li
0.706 0.013 0.720 Li
0.803 0.197 0.250 Li
0.869 0.470 0.048 Li
0.942 0.655 0.571 Li
0.987 0.294 0.780 Li
0.000 0.000 0.000 Ti
0.000 0.000 0.500 Ti
0.336 0.341 0.708 Ti
0.341 0.336 0.208 Ti
0.659 0.664 0.792 Ti
0.664 0.659 0.292 Ti
0.071 0.074 0.667 F
0.074 0.071 0.167 F
0.096 0.752 0.061 F
0.097 0.757 0.571 F
0.102 0.436 0.113 F
0.107 0.414 0.607 F
0.223 0.271 0.844 F
0.243 0.558 0.311 F
0.243 0.903 0.929 F
0.245 0.573 0.812 F
0.248 0.904 0.439 F
0.271 0.223 0.344 F
0.411 0.431 0.065 F
0.414 0.107 0.107 F
0.427 0.755 0.688 F
0.431 0.411 0.565 F
0.436 0.102 0.613 F
0.442 0.757 0.189 F
0.558 0.243 0.811 F
0.564 0.898 0.387 F
0.569 0.589 0.435 F
0.573 0.245 0.312 F
0.586 0.893 0.893 F
0.589 0.569 0.935 F
0.729 0.777 0.656 F
0.752 0.096 0.561 F
0.755 0.427 0.188 F
0.757 0.097 0.071 F
0.757 0.442 0.689 F
0.777 0.729 0.156 F
0.893 0.586 0.393 F
0.898 0.564 0.887 F
0.903 0.243 0.429 F
0.904 0.248 0.939 F
0.926 0.929 0.833 F
0.929 0.926 0.333 F
```